Record 1
Computed X-ray powder pattern
Compound: NdCd20Ni2
Radiation: λ = 1.5418 Å (Cu Kα)
Structure: a structure optimized by DFT (GGA-PBE)

Top 10 peaks for 10° ≤ 2θ ≤ 90°, by angle:
33.6 deg, intensity 100; 36.0 deg, intensity 36; 37.4 deg, intensity 64; 37.8 deg, intensity 64; 39.5 deg, intensity 20; 40.8 deg, intensity 26; 49.0 deg, intensity 22; 58.1 deg, intensity 18; 67.1 deg, intensity 42; 70.3 deg, intensity 18

Crystal structure
Unit cell a=11.1635 b=11.1635 c=11.1635 alpha=60.00 beta=60.00 gamma=60.00
Sites, in units of the cell vectors:
Nd (0.1250, 0.1250, 0.1250)
Nd (0.8750, 0.8750, 0.8750)
Cd (0.0000, 0.0000, 0.0000)
Cd (0.0000, 0.0000, 0.5000)
Cd (0.0000, 0.5000, 0.0000)
Cd (0.0560, 0.3243, 0.3243)
Cd (0.0560, 0.3243, 0.7953)
Cd (0.0560, 0.7953, 0.3243)
Cd (0.2047, 0.6757, 0.6757)
Cd (0.2047, 0.6757, 0.9440)
Cd (0.2047, 0.9440, 0.6757)
Cd (0.2381, 0.2381, 0.5119)
Cd (0.2381, 0.5119, 0.2381)
Cd (0.2381, 0.5119, 0.5119)
Cd (0.3243, 0.0560, 0.3243)
Cd (0.3243, 0.0560, 0.7953)
Cd (0.3243, 0.3243, 0.0560)
Cd (0.3243, 0.3243, 0.7953)
Cd (0.3243, 0.7953, 0.0560)
Cd (0.3243, 0.7953, 0.3243)
Cd (0.4881, 0.4881, 0.7619)
Cd (0.4881, 0.7619, 0.4881)
Cd (0.4881, 0.7619, 0.7619)
Cd (0.5000, 0.0000, 0.0000)
Cd (0.5119, 0.2381, 0.2381)
Cd (0.5119, 0.2381, 0.5119)
Cd (0.5119, 0.5119, 0.2381)
Cd (0.6757, 0.2047, 0.6757)
Cd (0.6757, 0.2047, 0.9440)
Cd (0.6757, 0.6757, 0.2047)
Cd (0.6757, 0.6757, 0.9440)
Cd (0.6757, 0.9440, 0.2047)
Cd (0.6757, 0.9440, 0.6757)
Cd (0.7619, 0.4881, 0.4881)
Cd (0.7619, 0.4881, 0.7619)
Cd (0.7619, 0.7619, 0.4881)
Cd (0.7953, 0.0560, 0.3243)
Cd (0.7953, 0.3243, 0.0560)
Cd (0.7953, 0.3243, 0.3243)
Cd (0.9440, 0.2047, 0.6757)
Cd (0.9440, 0.6757, 0.2047)
Cd (0.9440, 0.6757, 0.6757)
Ni (0.0000, 0.5000, 0.5000)
Ni (0.5000, 0.0000, 0.5000)
Ni (0.5000, 0.5000, 0.0000)
Ni (0.5000, 0.5000, 0.5000)

Record 2
Computed X-ray powder pattern
Compound: NdCdPb3
Radiation: λ = 1.5418 Å (Cu Kα)
Structure: a structure optimized by DFT (GGA-PBE)

Top 10 peaks for 10° ≤ 2θ ≤ 90°, by angle:
31.2 deg, intensity 100; 32.4 deg, intensity 49; 32.6 deg, intensity 49; 32.8 deg, intensity 46; 36.8 deg, intensity 36; 50.0 deg, intensity 14; 50.2 deg, intensity 14; 50.4 deg, intensity 16; 61.2 deg, intensity 17; 61.4 deg, intensity 15

Crystal structure
Unit cell a=3.6190 b=4.8833 c=8.6831 alpha=73.89 beta=89.86 gamma=90.00
Sites, in units of the cell vectors:
Nd (0.0000, 0.0000, 0.0000)
Cd (0.4678, 0.1980, 0.5997)
Pb (0.4920, 0.3898, 0.2147)
Pb (0.5073, 0.5897, 0.8167)
Pb (0.9720, 0.7829, 0.4316)

Record 3
Computed X-ray powder pattern
Compound: Nd3CdPb
Radiation: λ = 1.5418 Å (Cu Kα)
Structure: a structure optimized by DFT (GGA-PBE)

Top 10 peaks for 10° ≤ 2θ ≤ 90°, by angle:
25.8 deg, intensity 63; 27.3 deg, intensity 20; 30.9 deg, intensity 29; 31.8 deg, intensity 56; 33.9 deg, intensity 100; 36.1 deg, intensity 28; 40.1 deg, intensity 31; 55.1 deg, intensity 17; 63.5 deg, intensity 18; 68.9 deg, intensity 25

Crystal structure
Unit cell a=4.4922 b=6.8607 c=10.8303 alpha=90.00 beta=90.00 gamma=90.00
Sites, in units of the cell vectors:
Nd (0.2500, 0.0134, 0.1962)
Nd (0.2500, 0.2500, 0.5772)
Nd (0.2500, 0.4866, 0.1962)
Nd (0.7500, 0.5134, 0.8038)
Nd (0.7500, 0.7500, 0.4228)
Nd (0.7500, 0.9866, 0.8038)
Cd (0.2500, 0.2500, 0.9365)
Cd (0.7500, 0.7500, 0.0635)
Pb (0.2500, 0.7500, 0.6342)
Pb (0.7500, 0.2500, 0.3658)

Record 4
Computed X-ray powder pattern
Compound: Nd3CdPb3
Radiation: λ = 1.5418 Å (Cu Kα)
Structure: a structure optimized by DFT (GGA-PBE)

Top 10 peaks for 10° ≤ 2θ ≤ 90°, by angle:
28.7 deg, intensity 37; 29.2 deg, intensity 16; 29.7 deg, intensity 100; 33.8 deg, intensity 30; 35.0 deg, intensity 61; 36.2 deg, intensity 23; 38.0 deg, intensity 39; 42.5 deg, intensity 12; 49.0 deg, intensity 20; 53.5 deg, intensity 15

Crystal structure
Unit cell a=6.4820 b=6.4820 c=15.6344 alpha=106.58 beta=106.58 gamma=42.83
Sites, in units of the cell vectors:
Nd (0.0166, 0.0166, 0.3769)
Nd (0.1002, 0.1002, 0.9230)
Nd (0.2279, 0.2279, 0.2254)
Nd (0.7721, 0.7721, 0.7746)
Nd (0.8998, 0.8998, 0.0770)
Nd (0.9834, 0.9834, 0.6231)
Cd (0.2753, 0.2753, 0.6256)
Cd (0.7247, 0.7247, 0.3744)
Pb (0.3597, 0.3597, 0.4570)
Pb (0.3721, 0.3721, 0.9250)
Pb (0.4979, 0.4979, 0.2257)
Pb (0.5021, 0.5021, 0.7743)
Pb (0.6279, 0.6279, 0.0750)
Pb (0.6403, 0.6403, 0.5430)

Record 5
Computed X-ray powder pattern
Compound: Nd2Cd3Pb3
Radiation: λ = 1.5418 Å (Cu Kα)
Structure: a structure optimized by DFT (GGA-PBE)

Top 10 peaks for 10° ≤ 2θ ≤ 90°, by angle:
32.5 deg, intensity 100; 36.4 deg, intensity 19; 37.8 deg, intensity 17; 38.9 deg, intensity 15; 53.4 deg, intensity 12; 54.3 deg, intensity 12; 63.0 deg, intensity 15; 64.9 deg, intensity 14; 66.4 deg, intensity 12; 68.0 deg, intensity 12

Crystal structure
Unit cell a=4.7629 b=4.9398 c=9.2678 alpha=90.00 beta=90.00 gamma=90.00
Sites, in units of the cell vectors:
Nd (0.0000, 0.0000, 0.2483)
Nd (0.0000, 0.0000, 0.7517)
Cd (0.0000, 0.5000, 0.5000)
Cd (0.5000, 0.5000, 0.2629)
Cd (0.5000, 0.5000, 0.7371)
Pb (0.0000, 0.5000, 0.0000)
Pb (0.5000, 0.0000, 0.0000)
Pb (0.5000, 0.0000, 0.5000)

Record 6
Computed X-ray powder pattern
Compound: Nd6CdPb
Radiation: λ = 1.5418 Å (Cu Kα)
Structure: a structure optimized by DFT (GGA-PBE)

Top 10 peaks for 10° ≤ 2θ ≤ 90°, by angle:
31.0 deg, intensity 100; 35.9 deg, intensity 34; 36.2 deg, intensity 17; 51.6 deg, intensity 12; 51.9 deg, intensity 24; 61.4 deg, intensity 28; 61.9 deg, intensity 14; 64.6 deg, intensity 12; 84.3 deg, intensity 6; 84.7 deg, intensity 12

Crystal structure
Unit cell a=5.0084 b=5.0084 c=9.9327 alpha=90.00 beta=90.00 gamma=90.00
Sites, in units of the cell vectors:
Nd (0.0000, 0.0000, 0.0000)
Nd (0.0000, 0.0000, 0.5000)
Nd (0.0000, 0.5000, 0.2491)
Nd (0.0000, 0.5000, 0.7509)
Nd (0.5000, 0.0000, 0.2491)
Nd (0.5000, 0.0000, 0.7509)
Cd (0.5000, 0.5000, 0.0000)
Pb (0.5000, 0.5000, 0.5000)